For Na6Tl2Bi3, a crystal structure in Alexandria, relaxed with PBE gives the calculated X-ray powder pattern in this record (Cu Kα, 1.54184 Å).

Structural model:
a b c (Å): 15.378 15.378 15.378
angles (deg): 160.92 160.92 27.10
Fractional coordinates of all 11 atoms:
Na  0.062  0.562  0.500
Na  0.228  0.228  0.000
Na  0.438  0.938  0.500
Na  0.562  0.062  0.500
Na  0.772  0.772  0.000
Na  0.938  0.438  0.500
Tl  0.341  0.341  0.000
Tl  0.659  0.659  0.000
Bi  0.000  0.000  0.000
Bi  0.125  0.125  0.000
Bi  0.875  0.875  0.000

Most intense lines, 2θ from 10° to 90°, sorted by position:
two_theta	Rel. int.
11.84	49
17.65	39
19.56	32
24.71	100
27.48	30
30.62	48
32.16	93
34.58	42
35.22	59
48.44	61